Structure and calculated XRD peak list of Sc5Pb3 (a PBE-relaxed structure; Cu Kα, 1.54184 Å).
Intensities are scaled so that the largest is 100.

Structural model:
Cell: 8.5691 8.5691 6.1994 Å, 90.00 90.00 120.00°
Space group P6_3/mcm (No. 193)
One atom of each set of equivalent atoms:
Sc1 0.0000 0.2354 0.2500 x6
Sc2 0.3333 0.6667 0.0000 x4
Pb1 0.0000 0.3933 0.7500 x6

Most intense lines, 10 to 80 degrees two-theta, sorted by position:
| hkl | d/Å | Position (°2θ) | I_rel |
| --- | --- | --- | --- |
| 1 0 0 | 7.421 | 11.9 | 23 |
| 1 1 0 | 4.285 | 20.7 | 28 |
| 1 1 1 | 3.525 | 25.3 | 100 |
| 0 0 2 | 3.100 | 28.8 | 39 |
| 2 1 1 | 2.555 | 35.1 | 80 |
| 1 1 2 | 2.511 | 35.8 | 49 |
| 3 0 0 | 2.474 | 36.3 | 35 |
| 2 0 2 | 2.379 | 37.8 | 24 |
| 3 1 1 | 1.953 | 46.5 | 44 |
| 2 1 3 | 1.664 | 55.2 | 22 |
| 3 1 3 | 1.458 | 63.8 | 21 |
| 5 0 2 | 1.339 | 70.3 | 23 |



Structure and calculated XRD peak list of NaNdSi6O15 (a PBE-relaxed structure; Cu Kα, 1.54184 Å).
Intensities are scaled so that the largest is 100.

Structural model:
Cell: 7.530 31.365 7.163 Å, 90.00 90.00 90.00°
Space group Cmm2 (No. 35)
One atom of each set of equivalent atoms:
Na1 0.000 0.123 0.000 x4
Nd1 0.000 0.370 0.031 x4
Si1 0.000 0.318 0.435 x4
Si2 0.000 0.417 0.531 x4
Si3 0.207 0.203 0.739 x8
Si4 0.209 0.050 0.273 x8
O1 0.000 0.055 0.332 x4
O2 0.000 0.201 0.672 x4
O3 0.000 0.304 0.218 x4
O4 0.000 0.371 0.412 x4
O5 0.000 0.407 0.752 x4
O6 0.177 0.304 0.547 x8
O7 0.177 0.443 0.466 x8
O8 0.240 0.416 0.114 x8
O9 0.241 0.000 0.207 x4
O10 0.248 0.334 0.890 x8
O11 0.250 0.250 0.822 x4

Most intense lines, 10 to 80 degrees two-theta, sorted by position:
| hkl | d/Å | Position (°2θ) | I_rel |
| --- | --- | --- | --- |
| 0 4 0 | 7.841 | 11.3 | 60 |
| 1 1 0 | 7.322 | 12.1 | 82 |
| 0 2 1 | 6.515 | 13.6 | 100 |
| 1 3 0 | 6.110 | 14.5 | 74 |
| 0 4 1 | 5.288 | 16.8 | 62 |
| 1 3 1 | 4.648 | 19.1 | 36 |
| 0 8 1 | 3.439 | 25.9 | 53 |
| 2 4 0 | 3.393 | 26.3 | 69 |
| 0 4 2 | 3.259 | 27.4 | 73 |
| 1 1 2 | 3.217 | 27.7 | 28 |
| 1 11 1 | 2.500 | 35.9 | 21 |
| 2 12 1 | 2.057 | 44.0 | 26 |



Structure and calculated XRD peak list of W (a PBE-relaxed structure; Cu Kα, 1.54184 Å).
Intensities are scaled so that the largest is 100.

Structural model:
Cell: 3.187 3.187 3.187 Å, 90.00 90.00 90.00°
Space group Im-3m (No. 229)
One atom of each set of equivalent atoms:
W1 0.000 0.000 0.000 x2

Most intense lines, 10 to 80 degrees two-theta, sorted by position:
| hkl | d/Å | Position (°2θ) | I_rel |
| --- | --- | --- | --- |
| 1 1 0 | 2.254 | 40.0 | 100 |
| 2 0 0 | 1.594 | 57.9 | 17 |
| 2 1 1 | 1.301 | 72.7 | 35 |



Structure and calculated XRD peak list of Te2MoW3S6 (a PBE-relaxed structure; Cu Kα, 1.54184 Å).
Intensities are scaled so that the largest is 100.

Structural model:
Cell: 3.2732 3.2732 37.2478 Å, 90.00 90.00 120.00°
Space group P3m1 (No. 156)
One atom of each set of equivalent atoms:
Te1 0.0000 0.0000 0.0000 x1
Te2 0.0000 0.0000 0.1042 x1
Mo1 0.0000 0.0000 0.8642 x1
W1 0.0000 0.0000 0.2400 x1
W2 0.6667 0.3333 0.0521 x1
W3 0.6667 0.3333 0.6764 x1
S1 0.0000 0.0000 0.6349 x1
S2 0.0000 0.0000 0.7179 x1
S3 0.6667 0.3333 0.1985 x1
S4 0.6667 0.3333 0.2815 x1
S5 0.6667 0.3333 0.8229 x1
S6 0.6667 0.3333 0.9055 x1

Most intense lines, 10 to 80 degrees two-theta, sorted by position:
| hkl | d/Å | Position (°2θ) | I_rel |
| --- | --- | --- | --- |
| 0 0 5 | 7.450 | 11.9 | 100 |
| 0 0 6 | 6.208 | 14.3 | 16 |
| 1 0 0 | 2.832 | 31.6 | 38 |
| 1 0 3 | 2.764 | 32.4 | 13 |
| 1 0 5 | 2.649 | 33.8 | 15 |
| 0 1 7 | 2.502 | 35.9 | 12 |
| 1 0 8 | 2.421 | 37.1 | 70 |
| 1 0 9 | 2.339 | 38.5 | 13 |
| 0 1 13 | 2.015 | 45.0 | 33 |
| 1 1 0 | 1.636 | 56.2 | 23 |
| 1 1 5 | 1.598 | 57.7 | 11 |
| 0 2 8 | 1.356 | 69.3 | 11 |



Structure and calculated XRD peak list of Ti4O7 (a PBE-relaxed structure; Cu Kα, 1.54184 Å).
Intensities are scaled so that the largest is 100.

Structural model:
Cell: 5.911 7.444 12.234 Å, 97.05 92.31 111.82°
Space group P-1 (No. 2)
One atom of each set of equivalent atoms:
Ti1 0.038 0.318 0.274 x2
Ti2 0.203 0.170 0.046 x2
Ti3 0.215 0.646 0.075 x2
Ti4 0.227 0.138 0.572 x2
Ti5 0.229 0.594 0.565 x2
Ti6 0.293 0.021 0.332 x2
Ti7 0.356 0.551 0.806 x2
Ti8 0.364 0.072 0.802 x2
O1 0.005 0.511 0.195 x2
O2 0.043 0.982 0.694 x2
O3 0.098 0.355 0.998 x2
O4 0.127 0.897 0.463 x2
O5 0.131 0.454 0.416 x2
O6 0.134 0.975 0.910 x2
O7 0.275 0.407 0.640 x2
O8 0.304 0.276 0.210 x2
O9 0.304 0.911 0.160 x2
O10 0.319 0.777 0.722 x2
O11 0.422 0.709 0.952 x2
O12 0.428 0.235 0.449 x2
O13 0.469 0.352 0.840 x2
O14 0.499 0.122 0.652 x2

Most intense lines, 10 to 80 degrees two-theta, sorted by position:
| hkl | d/Å | Position (°2θ) | I_rel |
| --- | --- | --- | --- |
| 0 1 1 | 5.604 | 15.8 | 23 |
| 1 0 -2 | 4.255 | 20.9 | 25 |
| 1 1 -1 | 3.638 | 24.5 | 30 |
| 1 -2 0 | 3.570 | 24.9 | 39 |
| 0 2 -1 | 3.423 | 26.0 | 36 |
| 1 -2 2 | 3.209 | 27.8 | 100 |
| 0 2 2 | 2.802 | 31.9 | 25 |
| 1 0 -4 | 2.756 | 32.5 | 53 |
| 0 2 4 | 2.113 | 42.8 | 37 |
| 3 -2 2 | 1.841 | 49.5 | 25 |
| 3 0 -2 | 1.791 | 51.0 | 40 |
| -1 4 2 | 1.702 | 53.9 | 27 |